Structure and theoretical powder diffractogram of Dy2ScAl (a structure optimized by DFT (PBE); Cu Ka).

Top 12 peaks for 2θ = 15–90°, by intensity:
- 35.60°, rel. 100
- 35.48°, rel. 57
- 23.05°, rel. 50
- 34.58°, rel. 37
- 30.99°, rel. 34
- 62.59°, rel. 30
- 47.08°, rel. 29
- 54.94°, rel. 25
- 15.30°, rel. 22
- 66.57°, rel. 21
- 17.09°, rel. 17
- 67.37°, rel. 16

Structural model:
abc: 5.1884 6.6541 11.5941
angles: 90.00 90.00 90.00
Space group Amm2 (No. 38)
Inequivalent atoms, fractional coordinates:
Dy1 0.0000 0.0000 0.0000
Dy2 0.0000 0.2369 0.2423
Dy3 0.5000 0.0000 0.6506
Sc1 0.5000 0.2355 0.4126
Al1 0.0000 0.0000 0.4896
Al2 0.5000 0.0000 0.1607